This entry pairs a crystal structure of SrCaW2O8 with its theoretical powder diffraction line list. Radiation: CuKα. Structure: a DFT-relaxed cell (PBE+U, Alexandria).
Lines closer than 0.1° are merged.

Crystal structure
```
SrCaW2O8
1.0
-3.824 3.824 3.438
3.824 -3.824 3.438
3.824 3.824 -3.438
Sr Ca W O
1 1 2 8
Cartesian
0.000 0.000 0.000
3.824 0.000 1.719
0.000 0.000 3.438
0.000 3.824 1.719
2.377 3.824 -1.104
1.447 0.000 2.334
0.000 2.414 0.579
3.824 2.377 1.104
0.000 5.234 0.579
0.000 1.447 4.542
-1.410 3.824 2.859
1.410 3.824 2.859
```

The 6 most intense peaks (2θ = 10–90°), in order of rising 2θ:
| two_theta | I (rel.) |
| --- | --- |
| 17.3 | 45 |
| 23.3 | 100 |
| 29.2 | 35 |
| 30.8 | 81 |
| 33.1 | 24 |
| 45.9 | 64 |